# 1
Simulated powder X-ray diffraction pattern of BaGaAu2 for Cu Kα, 1.54184 Å, from a PBE-relaxed structure.

Atomic structure:
Unit cell a=4.737 b=4.737 c=20.799 alpha=90.00 beta=90.00 gamma=90.00
Space group P4_1 (No. 76)
Symmetry-distinct sites (fractional):
Ba 0.000 0.001 0.000 [4 per cell]
Ga 0.499 0.499 0.582 [4 per cell]
Au 0.001 0.500 0.878 [4 per cell]
Au 0.499 0.499 0.459 [4 per cell]

Largest 10 diffraction maxima, sorted by position, 15 to 90 degrees two-theta:
18.73 deg, I = 20.6; 20.60 deg, I = 67.5; 31.78 deg, I = 100.0; 31.99 deg, I = 23.2; 37.99 deg, I = 67.7; 39.54 deg, I = 41.7; 44.09 deg, I = 27.5; 54.81 deg, I = 23.5; 55.99 deg, I = 30.2; 64.76 deg, I = 26.6

---

# 2
Simulated powder X-ray diffraction pattern of BaGa12Au4 for Cu Kα, 1.54184 Å, from a PBE-relaxed structure.

Atomic structure:
Unit cell a=9.085 b=9.085 c=9.085 alpha=90.00 beta=90.00 gamma=90.00
Space group Im-3 (No. 204)
Symmetry-distinct sites (fractional):
Ba 0.000 0.000 0.000 [2 per cell]
Ga 0.000 0.357 0.150 [24 per cell]
Au 0.250 0.250 0.250 [8 per cell]

Largest 10 diffraction maxima, sorted by position, 15 to 90 degrees two-theta:
19.54 deg, I = 49.0; 27.78 deg, I = 100.0; 31.13 deg, I = 71.2; 34.19 deg, I = 22.8; 37.03 deg, I = 30.3; 44.61 deg, I = 78.0; 49.13 deg, I = 79.7; 51.28 deg, I = 32.1; 64.92 deg, I = 30.2; 78.85 deg, I = 21.0

---

# 3
Simulated powder X-ray diffraction pattern of Ba3Ga6Au5 for Cu Kα, 1.54184 Å, from a PBE-relaxed structure.

Atomic structure:
Unit cell a=4.572 b=13.207 c=11.404 alpha=90.00 beta=90.00 gamma=90.00
Space group Pmmn (No. 59, origin choice 2)
Symmetry-distinct sites (fractional):
Ba 0.250 0.093 0.250 [4 per cell]
Ba 0.250 0.750 0.247 [2 per cell]
Ga 0.250 0.060 0.903 [4 per cell]
Ga 0.250 0.250 0.005 [2 per cell]
Ga 0.250 0.250 0.513 [2 per cell]
Ga 0.250 0.574 0.490 [4 per cell]
Au 0.250 0.079 0.645 [4 per cell]
Au 0.250 0.631 0.984 [4 per cell]
Au 0.250 0.750 0.595 [2 per cell]

Largest 10 diffraction maxima, sorted by position, 15 to 90 degrees two-theta:
23.40 deg, I = 24.5; 25.56 deg, I = 26.9; 28.14 deg, I = 43.8; 30.59 deg, I = 69.4; 31.08 deg, I = 45.0; 32.30 deg, I = 100.0; 39.42 deg, I = 68.4; 40.20 deg, I = 25.1; 41.00 deg, I = 25.2; 42.63 deg, I = 39.4

---

# 4
Simulated powder X-ray diffraction pattern of Ba2GaH6Au for Cu Kα, 1.54184 Å, from a PBE-relaxed structure.

Atomic structure:
Unit cell a=5.582 b=5.582 c=9.438 alpha=90.00 beta=90.00 gamma=90.00
Space group I4mm (No. 107)
Symmetry-distinct sites (fractional):
Ba 0.000 0.500 0.000 [4 per cell]
Ga 0.000 0.000 0.290 [2 per cell]
H 0.000 0.000 0.108 [2 per cell]
H 0.000 0.000 0.574 [2 per cell]
H 0.239 0.239 0.795 [8 per cell]
Au 0.000 0.000 0.765 [2 per cell]

Largest 10 diffraction maxima, sorted by position, 15 to 90 degrees two-theta:
18.47 deg, I = 16.9; 29.50 deg, I = 100.0; 32.07 deg, I = 41.2; 38.14 deg, I = 11.7; 45.99 deg, I = 15.7; 50.66 deg, I = 20.2; 55.59 deg, I = 33.7; 61.23 deg, I = 11.7; 63.69 deg, I = 9.1; 82.06 deg, I = 9.1

---

# 5
Simulated powder X-ray diffraction pattern of Ba2GaHgAu6 for Cu Kα, 1.54184 Å, from a PBE-relaxed structure.

Atomic structure:
Unit cell a=13.382 b=5.612 c=9.471 alpha=90.00 beta=131.73 gamma=90.00
Space group C2/m (No. 12)
Symmetry-distinct sites (fractional):
Ba 0.242 0.000 0.199 [4 per cell]
Ga 0.000 0.000 0.500 [2 per cell]
Hg 0.000 0.500 0.000 [2 per cell]
Au 0.006 0.251 0.271 [8 per cell]
Au 0.248 0.000 0.596 [4 per cell]

Largest 10 diffraction maxima, sorted by position, 15 to 90 degrees two-theta:
25.24 deg, I = 32.2; 26.58 deg, I = 44.1; 35.95 deg, I = 100.0; 36.54 deg, I = 34.0; 36.74 deg, I = 68.5; 37.26 deg, I = 62.4; 38.12 deg, I = 48.1; 41.08 deg, I = 34.6; 41.33 deg, I = 25.3; 42.05 deg, I = 31.9

---

# 6
Simulated powder X-ray diffraction pattern of BaMgGaAu6 for Cu Kα, 1.54184 Å, from a PBE-relaxed structure.

Atomic structure:
Unit cell a=7.510 b=9.994 c=10.926 alpha=90.00 beta=90.00 gamma=90.00
Space group Imma (No. 74)
Symmetry-distinct sites (fractional):
Ba 0.000 0.250 0.235 [4 per cell]
Mg 0.250 0.250 0.750 [4 per cell]
Ga 0.000 0.000 0.000 [4 per cell]
Au 0.000 0.250 0.559 [4 per cell]
Au 0.000 0.250 0.933 [4 per cell]
Au 0.200 0.008 0.627 [16 per cell]

Largest 10 diffraction maxima, sorted by position, 15 to 90 degrees two-theta:
26.04 deg, I = 30.2; 29.76 deg, I = 100.0; 35.49 deg, I = 27.6; 35.94 deg, I = 53.2; 37.53 deg, I = 35.3; 40.85 deg, I = 24.6; 41.17 deg, I = 19.6; 44.03 deg, I = 21.2; 44.86 deg, I = 22.5; 55.53 deg, I = 19.5

---

# 7
Simulated powder X-ray diffraction pattern of Ba3Mg2Ga2Au4 for Cu Kα, 1.54184 Å, from a PBE-relaxed structure.

Atomic structure:
Unit cell a=4.6496 b=4.6496 c=17.0702 alpha=90.00 beta=90.00 gamma=120.00
Space group P-3m1 (No. 164)
Symmetry-distinct sites (fractional):
Ba 0.0000 0.0000 0.0000 [1 per cell]
Ba 0.0000 0.0000 0.2727 [2 per cell]
Mg 0.3333 0.6667 0.5581 [2 per cell]
Ga 0.3333 0.6667 0.1366 [2 per cell]
Au 0.3333 0.6667 0.3975 [2 per cell]
Au 0.3333 0.6667 0.8631 [2 per cell]

Largest 10 diffraction maxima, sorted by position, 15 to 90 degrees two-theta:
24.44 deg, I = 79.2; 27.13 deg, I = 43.3; 30.52 deg, I = 98.6; 36.86 deg, I = 16.3; 38.74 deg, I = 100.0; 50.10 deg, I = 24.8; 54.54 deg, I = 31.6; 58.74 deg, I = 18.3; 65.07 deg, I = 22.7; 70.12 deg, I = 22.5